# 1
For Ac3Ga7Ru2, a structure optimized by DFT (PBE) gives the simulated PXRD pattern in this record (Cu Ka).

Principal peaks in the range 10 to 90 degrees two-theta, sorted by position:
d_spacing  I_rel
3.508  100
3.381  78
2.658  82
2.391  94
1.976  42
1.754  52

Structure:
Cell lengths 13.342, 13.342, 13.342 Å; angles 159.35, 159.35, 29.36 degrees
Fractional positions:
Ac1 0.000 0.000 0.000
Ac2 0.186 0.186 0.000
Ac3 0.814 0.814 0.000
Ga1 0.094 0.594 0.500
Ga2 0.309 0.309 0.000
Ga3 0.406 0.906 0.500
Ga4 0.500 0.500 0.000
Ga5 0.594 0.094 0.500
Ga6 0.691 0.691 0.000
Ga7 0.906 0.406 0.500
Ru1 0.407 0.407 0.000
Ru2 0.593 0.593 0.000



# 2
For RbTiHg2S4, a structure optimized by DFT (PBE) gives the simulated PXRD pattern in this record (Cu Ka).

Principal peaks in the range 10 to 90 degrees two-theta, sorted by position:
d_spacing  I_rel
4.979  25
3.520  37
3.318  100
2.489  29
1.991  49
1.881  26

Structure:
Cell lengths 6.681, 6.675, 7.041 Å; angles 58.23, 58.14, 63.63 degrees
Fractional positions:
Rb1 0.000 0.000 0.000
Ti1 0.500 0.500 0.500
Hg1 0.252 0.252 0.248
Hg2 0.752 0.752 0.748
S1 0.163 0.544 0.837
S2 0.455 0.835 0.165
S3 0.544 0.163 0.456
S4 0.835 0.455 0.545